Diffraction record for K2TmVF6. The powder diffractogram is simulated, not measured: it uses the GGA+U geometry in Alexandria and Cu Kα X-rays.
No peak broadening, texture or thermal motion is included.

```
data_K2TmVF6
_chemical_formula_sum 'K4 Tm2 V2 F12'
_cell_length_a 5.920
_cell_length_b 10.325
_cell_length_c 6.167
_cell_angle_alpha 90.00
_cell_angle_beta 90.00
_cell_angle_gamma 90.00
_space_group_name_H-M_alt 'P m m n'
_space_group_IT_number 59
loop_
_space_group_symop_operation_xyz
'x,y,z'
'-x,-y,-z'
'-x+1/2,-y+1/2,z'
'x+1/2,y+1/2,-z'
'x+1/2,-y,-z'
'-x+1/2,y,z'
'-x,y+1/2,-z'
'x,-y+1/2,z'
loop_
_atom_site_label
_atom_site_fract_x
_atom_site_fract_y
_atom_site_fract_z
K1 0.250 0.011 0.238
Tm1 0.250 0.750 0.802
V1 0.250 0.250 0.697
F1 0.002 0.250 0.947
F2 0.010 0.250 0.438
F3 0.250 0.544 0.814
```

Main lines, in order of falling intensity (10 to 80 degrees two-theta):
hkl 1 2 1, 2θ = 27.1°, intensity 100; hkl 0 2 0, 2θ = 17.2°, intensity 69; hkl 0 4 0, 2θ = 34.7°, intensity 43; hkl 0 1 1, 2θ = 16.7°, intensity 39; hkl 1 0 1, 2θ = 20.8°, intensity 37; hkl 2 0 2, 2θ = 42.3°, intensity 25; hkl 2 0 0, 2θ = 30.2°, intensity 24; hkl 2 4 2, 2θ = 55.9°, intensity 19; hkl 3 2 1, 2θ = 51.8°, intensity 17; hkl 1 2 3, 2θ = 50.2°, intensity 16; hkl 0 0 2, 2θ = 29.0°, intensity 16; hkl 2 1 2, 2θ = 43.3°, intensity 16